# PuSnBiPb
Theoretical PXRD pattern, CuKα. Input: a PBE-relaxed structure.

Cell: 4.740 4.788 4.968 Å, 90.00 90.00 90.00°
Sites, in units of the cell vectors:
1 Pu 0.000 0.000 0.000
2 Sn 0.500 0.000 0.500
3 Bi 0.500 0.500 0.000
4 Pb 0.000 0.500 0.500

Largest 8 diffraction maxima, sorted by position, 10° ≤ 2θ ≤ 90°:
2theta, intensity, index
32.10, 100, 1 1 1
36.16, 18, 0 0 2
37.57, 17, 0 2 0
37.97, 16, 2 0 0
62.50, 16, 1 1 3
64.38, 14, 1 3 1
64.92, 14, 3 1 1
67.15, 13, 2 2 2